No. 1
For Mn2CuH, a GGA-PBE-relaxed structure gives the computed PXRD pattern in this record (CuKα).

Cell and atoms:
abc: 2.6929 2.6929 11.3349
angles: 90.00 90.00 90.00
Space group I4mm (No. 107)
Symmetry-distinct sites (fractional):
Mn: 0.0000 0.0000 0.0000 (multiplicity 2)
Mn: 0.0000 0.0000 0.3260 (multiplicity 2)
Cu: 0.0000 0.0000 0.6689 (multiplicity 2)
H: 0.0000 0.0000 0.4930 (multiplicity 2)

The 9 most intense peaks (10 to 80 degrees two-theta), low angle first:
| h k l | two_theta | d (Å) | intensity |
| --- | --- | --- | --- |
| 0 0 2 | 15.64 | 5.667 | 2 |
| 1 0 1 | 34.23 | 2.620 | 1 |
| 1 0 3 | 41.16 | 2.193 | 100 |
| 1 1 0 | 47.77 | 1.904 | 33 |
| 0 0 6 | 48.17 | 1.889 | 15 |
| 1 1 2 | 50.57 | 1.805 | 1 |
| 1 0 5 | 52.79 | 1.734 | 1 |
| 2 0 0 | 69.86 | 1.346 | 9 |
| 1 1 6 | 70.18 | 1.341 | 18 |


No. 2
For Na2MnCuH6, a GGA-PBE-relaxed structure gives the computed PXRD pattern in this record (CuKα).

Cell and atoms:
abc: 7.1371 7.1371 7.1371
angles: 90.00 90.00 90.00
Space group Fm-3m (No. 225)
Symmetry-distinct sites (fractional):
Na: 0.2500 0.2500 0.2500 (multiplicity 8)
Mn: 0.0000 0.0000 0.0000 (multiplicity 4)
Cu: 0.0000 0.0000 0.5000 (multiplicity 4)
H: 0.0000 0.0000 0.2458 (multiplicity 24)

The 9 most intense peaks (10 to 80 degrees two-theta), low angle first:
| h k l | two_theta | d (Å) | intensity |
| --- | --- | --- | --- |
| 1 1 1 | 21.57 | 4.121 | 1 |
| 2 0 0 | 24.95 | 3.569 | 28 |
| 2 2 0 | 35.58 | 2.523 | 100 |
| 3 1 1 | 41.99 | 2.152 | 1 |
| 2 2 2 | 43.95 | 2.060 | 6 |
| 4 0 0 | 51.20 | 1.784 | 18 |
| 4 2 0 | 57.77 | 1.596 | 9 |
| 4 2 2 | 63.90 | 1.457 | 32 |
| 4 4 0 | 75.33 | 1.262 | 10 |